[1]
Starting from a structure optimized by DFT (GGA-PBE), the PXRD pattern of Mg5Si6 was calculated for a wavelength of 1.5418 Å.

Structure:
abc: 16.8004 16.8004 5.8656
angles: 99.54 99.54 13.90
Element x y z (fractional)
Mg  0.0000  0.0000  0.0000
Mg  0.0045  0.0045  0.5065
Mg  0.1804  0.1804  0.9004
Mg  0.3522  0.3522  0.2835
Mg  0.4489  0.4489  0.7000
Mg  0.6274  0.6274  0.1039
Mg  0.6374  0.6374  0.5958
Mg  0.7237  0.7237  0.2032
Mg  0.7332  0.7332  0.6989
Mg  0.9104  0.9104  0.0985
Si  0.0869  0.0869  0.3579
Si  0.0904  0.0904  0.7848
Si  0.1824  0.1824  0.4033
Si  0.2704  0.2704  0.4427
Si  0.2708  0.2708  0.0210
Si  0.3677  0.3677  0.7919
Si  0.4664  0.4664  0.2223
Si  0.5453  0.5453  0.2475
Si  0.5462  0.5462  0.8203
Si  0.8138  0.8138  0.5678
Si  0.8135  0.8135  0.9782
Si  0.8923  0.8923  0.5886

Top 12 peaks for 5° ≤ 2θ ≤ 70°, sorted by position:
2θ (°), I/Imax
10.76, 7
30.48, 7
37.34, 100
37.51, 9
37.85, 20
37.95, 13
38.68, 41
38.81, 26
41.05, 9
44.58, 35
59.87, 10
62.09, 7

[2]
Starting from a structure optimized by DFT (GGA-PBE), the PXRD pattern of Mg5Si6 was calculated for a wavelength of 1.5418 Å.

Structure:
abc: 4.0736 8.0946 12.8247
angles: 105.36 99.12 90.65
Element x y z (fractional)
Mg  0.0000  0.0000  0.0000
Mg  0.0048  0.5810  0.0071
Mg  0.1026  0.3526  0.2111
Mg  0.1221  0.9839  0.2596
Mg  0.1829  0.6979  0.3589
Mg  0.2847  0.0127  0.5752
Mg  0.3031  0.5993  0.6032
Mg  0.3853  0.3806  0.7817
Mg  0.5092  0.3068  0.0177
Mg  0.7937  0.2989  0.5871
Si  0.2287  0.2907  0.4247
Si  0.4118  0.0179  0.8127
Si  0.4456  0.7435  0.8846
Si  0.5486  0.8131  0.0844
Si  0.5692  0.1148  0.1597
Si  0.6065  0.6078  0.1926
Si  0.6959  0.9737  0.4128
Si  0.7167  0.4532  0.4024
Si  0.7574  0.7564  0.5116
Si  0.8485  0.8773  0.7058
Si  0.8791  0.6241  0.7729
Si  0.9257  0.2266  0.8676

Top 12 peaks for 5° ≤ 2θ ≤ 70°, sorted by position:
2θ (°), I/Imax
33.86, 32
34.53, 20
35.53, 59
35.93, 57
36.81, 100
37.05, 77
37.94, 43
38.21, 42
40.29, 25
40.73, 19
44.48, 83
44.85, 35

[3]
Starting from a structure optimized by DFT (GGA-PBE), the PXRD pattern of Mg5Si6 was calculated for a wavelength of 1.5418 Å.

Structure:
abc: 14.5786 14.5786 7.1086
angles: 95.02 95.02 15.62
Element x y z (fractional)
Mg  0.0000  0.0000  0.0000
Mg  0.1295  0.1295  0.7602
Mg  0.2463  0.2463  0.2882
Mg  0.4158  0.4158  0.1708
Mg  0.4573  0.4573  0.6894
Mg  0.5225  0.5225  0.2973
Mg  0.6663  0.6663  0.4394
Mg  0.7053  0.7053  0.9550
Mg  0.7838  0.7838  0.6186
Mg  0.8241  0.8241  0.1280
Si  0.0255  0.0255  0.6464
Si  0.0907  0.0907  0.3467
Si  0.1514  0.1514  0.1342
Si  0.2164  0.2164  0.6577
Si  0.2740  0.2740  0.9201
Si  0.3410  0.3410  0.4391
Si  0.3498  0.3498  0.8080
Si  0.5775  0.5775  0.6092
Si  0.5959  0.5959  0.0428
Si  0.8905  0.8905  0.4984
Si  0.9002  0.9002  0.8655
Si  0.9653  0.9653  0.3822

Top 12 peaks for 5° ≤ 2θ ≤ 70°, sorted by position:
2θ (°), I/Imax
34.32, 22
34.62, 100
35.87, 35
36.10, 30
36.50, 38
37.48, 77
38.47, 47
39.11, 22
41.32, 27
44.30, 17
45.81, 62
50.75, 19

[4]
Starting from a structure optimized by DFT (GGA-PBE), the PXRD pattern of Mg5Si6 was calculated for a wavelength of 1.5418 Å.

Structure:
abc: 3.9599 7.1243 14.5625
angles: 84.91 82.63 89.87
Element x y z (fractional)
Mg  0.0000  0.0000  0.0000
Mg  0.0410  0.5154  0.9225
Mg  0.1158  0.1782  0.7665
Mg  0.1588  0.6875  0.6853
Mg  0.3283  0.5621  0.3347
Mg  0.4610  0.3209  0.0742
Mg  0.5806  0.8478  0.8417
Mg  0.7450  0.7354  0.5028
Mg  0.7898  0.2518  0.4201
Mg  0.8463  0.8597  0.2895
Si  0.2176  0.0603  0.5540
Si  0.2280  0.4287  0.5336
Si  0.2873  0.9464  0.4038
Si  0.3521  0.2096  0.2827
Si  0.4097  0.9116  0.1516
Si  0.4892  0.6945  0.0322
Si  0.5536  0.2180  0.9008
Si  0.6158  0.4804  0.7860
Si  0.6735  0.9998  0.6529
Si  0.6861  0.3698  0.6342
Si  0.9097  0.1685  0.1778
Si  0.9389  0.6045  0.1430

Top 12 peaks for 5° ≤ 2θ ≤ 70°, sorted by position:
2θ (°), I/Imax
34.48, 55
34.61, 44
34.76, 56
35.75, 28
35.95, 49
36.46, 63
37.36, 61
37.59, 61
38.52, 59
39.01, 34
41.22, 35
45.83, 100

[5]
Starting from a structure optimized by DFT (GGA-PBE), the PXRD pattern of Mg4Si7 was calculated for a wavelength of 1.5418 Å.

Structure:
abc: 15.5499 15.5499 6.5144
angles: 93.72 93.72 14.59
Element x y z (fractional)
Mg  0.0000  0.0000  0.0000
Mg  0.0253  0.0253  0.4776
Mg  0.2523  0.2523  0.5733
Mg  0.2921  0.2921  0.0853
Mg  0.4585  0.4585  0.3014
Mg  0.6639  0.6639  0.5371
Mg  0.8842  0.8842  0.0931
Mg  0.9205  0.9205  0.6034
Si  0.1064  0.1064  0.7134
Si  0.1068  0.1068  0.3312
Si  0.1824  0.1824  0.2324
Si  0.1816  0.1816  0.8584
Si  0.3591  0.3591  0.7610
Si  0.3662  0.3662  0.3881
Si  0.4331  0.4331  0.9107
Si  0.4919  0.4919  0.6953
Si  0.5618  0.5618  0.2076
Si  0.5681  0.5681  0.8351
Si  0.7306  0.7306  0.8757
Si  0.7327  0.7327  0.2575
Si  0.8093  0.8093  0.7779
Si  0.8123  0.8123  0.4004

Top 12 peaks for 5° ≤ 2θ ≤ 70°, sorted by position:
2θ (°), I/Imax
24.15, 18
32.91, 57
34.03, 43
36.78, 27
37.33, 100
38.05, 80
39.47, 64
42.55, 29
44.31, 18
44.62, 28
45.97, 72
64.43, 16

[6]
Starting from a structure optimized by DFT (GGA-PBE), the PXRD pattern of Mg5Si6 was calculated for a wavelength of 1.5418 Å.

Structure:
abc: 5.5517 5.7051 13.2269
angles: 98.82 99.38 92.01
Element x y z (fractional)
Mg  0.0000  0.0000  0.0000
Mg  0.0215  0.2908  0.7008
Mg  0.1384  0.1637  0.4502
Mg  0.2690  0.6993  0.6075
Mg  0.3035  0.5968  0.1064
Mg  0.5790  0.0545  0.8002
Mg  0.6393  0.9299  0.3219
Mg  0.7442  0.8421  0.5493
Mg  0.7805  0.4547  0.9613
Mg  0.8560  0.3344  0.2106
Si  0.0126  0.6306  0.4069
Si  0.1205  0.8767  0.2665
Si  0.2320  0.3193  0.9081
Si  0.3400  0.7132  0.8822
Si  0.3530  0.2050  0.2055
Si  0.4185  0.5236  0.3639
Si  0.4673  0.2319  0.6252
Si  0.5080  0.0671  0.0211
Si  0.6303  0.5591  0.7668
Si  0.6870  0.3206  0.4885
Si  0.7847  0.7666  0.1282
Si  0.9862  0.8061  0.7597

Top 12 peaks for 5° ≤ 2θ ≤ 70°, sorted by position:
2θ (°), I/Imax
34.25, 93
34.67, 85
35.20, 82
35.70, 71
35.81, 66
35.93, 61
36.82, 51
38.62, 67
38.98, 54
39.47, 100
41.72, 45
49.55, 40

[7]
Starting from a structure optimized by DFT (GGA-PBE), the PXRD pattern of Mg4Si3 was calculated for a wavelength of 1.5418 Å.

Structure:
abc: 5.2034 7.1983 7.7400
angles: 94.26 101.73 101.90
Element x y z (fractional)
Mg  0.0000  0.0000  0.0000
Mg  0.0066  0.5297  0.8813
Mg  0.0860  0.5241  0.4962
Mg  0.1768  0.0639  0.4343
Mg  0.4392  0.2494  0.8302
Mg  0.6139  0.8198  0.5853
Mg  0.6517  0.1652  0.2350
Mg  0.6990  0.6021  0.1638
Si  0.1544  0.8525  0.7129
Si  0.1867  0.3584  0.1867
Si  0.2634  0.7610  0.2195
Si  0.4752  0.8644  0.9805
Si  0.5492  0.4368  0.4667
Si  0.8024  0.2089  0.6132

Top 12 peaks for 5° ≤ 2θ ≤ 70°, sorted by position:
2θ (°), I/Imax
32.75, 60
34.58, 50
35.34, 42
36.09, 48
36.57, 36
37.18, 41
37.35, 41
37.83, 35
38.74, 100
39.03, 82
39.66, 65
40.83, 69

[8]
Starting from a structure optimized by DFT (GGA-PBE), the PXRD pattern of Mg4Si7 was calculated for a wavelength of 1.5418 Å.

Structure:
abc: 4.0202 7.1283 14.4508
angles: 94.92 97.54 90.12
Element x y z (fractional)
Mg  0.0000  0.0000  0.0000
Mg  0.0427  0.5064  0.0878
Mg  0.1894  0.0284  0.3835
Mg  0.2657  0.5620  0.5294
Mg  0.3171  0.0513  0.5943
Mg  0.3779  0.4537  0.7496
Mg  0.4227  0.9529  0.8235
Mg  0.8473  0.7512  0.6799
Si  0.0989  0.8292  0.2144
Si  0.1072  0.2390  0.2241
Si  0.1357  0.5537  0.2946
Si  0.4873  0.2951  0.9710
Si  0.4875  0.6678  0.9753
Si  0.5558  0.8531  0.1242
Si  0.5598  0.1971  0.1297
Si  0.6843  0.5741  0.3885
Si  0.7130  0.2660  0.4561
Si  0.7730  0.8493  0.4952
Si  0.8090  0.3673  0.6183
Si  0.8844  0.1368  0.7301
Si  0.9390  0.6734  0.8706
Si  0.9449  0.3250  0.8753

Top 12 peaks for 5° ≤ 2θ ≤ 70°, sorted by position:
2θ (°), I/Imax
34.04, 58
35.62, 60
36.21, 44
36.41, 32
37.29, 60
37.60, 40
39.06, 80
39.27, 32
41.08, 32
41.24, 37
45.11, 100
51.26, 29